[1]
For NiPt6Rh5, a structure optimized by DFT (PBE) gives the simulated powder X-ray diffraction pattern in this record (Cu Kα (λ = 1.5418 Å)).
Lines closer than 0.1° are merged.

Structural model:
abc: 7.2804 7.2804 7.2804
angles: 148.98 115.29 73.49
Sites, in units of the cell vectors:
Ni (0.0000, 0.0000, 0.0000)
Pt (0.0816, 0.8344, 0.2472)
Pt (0.2450, 0.5000, 0.7450)
Pt (0.4128, 0.1656, 0.2472)
Pt (0.5872, 0.8344, 0.7528)
Pt (0.7550, 0.5000, 0.2550)
Pt (0.9184, 0.1656, 0.7528)
Rh (0.1656, 0.6656, 0.5000)
Rh (0.3342, 0.3342, 0.0000)
Rh (0.5000, 0.0000, 0.5000)
Rh (0.6658, 0.6658, 0.0000)
Rh (0.8344, 0.3344, 0.5000)

Largest 9 diffraction maxima, most intense first, 10 to 80 degrees two-theta:
2.248 Å, rel. 100; 1.947 Å, rel. 49; 1.376 Å, rel. 31; 3.896 Å, rel. 10; 2.752 Å, rel. 9; 1.741 Å, rel. 5; 1.590 Å, rel. 4; 1.298 Å, rel. 2; 1.231 Å, rel. 2


[2]
For Ni2Pt5Rh2, a structure optimized by DFT (PBE) gives the simulated powder X-ray diffraction pattern in this record (Cu Kα (λ = 1.5418 Å)).
Lines closer than 0.1° are merged.

Structural model:
abc: 3.8924 5.0676 8.5311
angles: 106.98 90.09 112.54
Sites, in units of the cell vectors:
Ni (0.1748, 0.3500, 0.4585)
Ni (0.8252, 0.6500, 0.5415)
Pt (0.1008, 0.2014, 0.7412)
Pt (0.3893, 0.7750, 0.7545)
Pt (0.5000, 0.0000, 0.5000)
Pt (0.6107, 0.2250, 0.2455)
Pt (0.8992, 0.7986, 0.2588)
Rh (0.3401, 0.6806, 0.0340)
Rh (0.6599, 0.3194, 0.9660)

Largest 10 diffraction maxima, most intense first, 10 to 80 degrees two-theta:
2.123 Å, rel. 100; 2.049 Å, rel. 73; 2.296 Å, rel. 53; 1.946 Å, rel. 44; 3.427 Å, rel. 42; 2.023 Å, rel. 38; 3.119 Å, rel. 31; 2.273 Å, rel. 31; 2.220 Å, rel. 17; 2.030 Å, rel. 16


[3]
For NiPtRh, a structure optimized by DFT (PBE) gives the simulated powder X-ray diffraction pattern in this record (Cu Kα (λ = 1.5418 Å)).
Lines closer than 0.1° are merged.

Structural model:
abc: 4.6560 4.6560 4.6849
angles: 99.81 99.81 119.87
Sites, in units of the cell vectors:
Ni (0.0000, 0.0000, 0.0000)
Ni (0.8359, 0.1641, 0.5000)
Pt (0.1639, 0.8361, 0.5000)
Pt (0.5006, 0.4994, 0.5000)
Rh (0.3360, 0.6640, 0.0000)
Rh (0.6743, 0.3257, 0.0000)

Largest 10 diffraction maxima, most intense first, 10 to 80 degrees two-theta:
2.200 Å, rel. 100; 1.899 Å, rel. 43; 2.194 Å, rel. 33; 1.913 Å, rel. 22; 1.350 Å, rel. 14; 1.346 Å, rel. 14; 1.343 Å, rel. 13; 3.853 Å, rel. 11; 4.406 Å, rel. 11; 2.974 Å, rel. 8